# 1
Theoretical powder X-ray diffraction pattern of RbEr5Se8 for Cu Kα (weighted mean of Kα1 and Kα2), from a DFT-relaxed cell (GGA-PBE, Alexandria).
Neutral-atom scattering factors, no anomalous dispersion.

Cell lengths 21.093, 4.111, 10.054 Å; angles 90.00, 104.53, 90.00 degrees
Space group Cm (No. 8)
Inequivalent atoms, fractional coordinates:
Rb1 0.000 0.000 0.000 [2 per cell]
Er1 0.000 0.500 0.499 [2 per cell]
Er2 0.156 0.000 0.454 [2 per cell]
Er3 0.204 0.000 0.841 [2 per cell]
Er4 0.296 0.500 0.158 [2 per cell]
Er5 0.345 0.500 0.545 [2 per cell]
Se1 0.078 0.000 0.649 [2 per cell]
Se2 0.081 0.500 0.308 [2 per cell]
Se3 0.168 0.500 0.993 [2 per cell]
Se4 0.231 0.500 0.647 [2 per cell]
Se5 0.270 0.000 0.352 [2 per cell]
Se6 0.332 0.000 0.006 [2 per cell]
Se7 0.420 0.000 0.691 [2 per cell]
Se8 0.422 0.500 0.349 [2 per cell]

Top 6 peaks for 2θ = 10–90°, in order of rising 2θ:
hkl 2 0 -1, 2θ 10.87, 8.137 Å, I 30
hkl 3 1 1, 2θ 28.03, 3.183 Å, I 100
hkl 3 1 -3, 2θ 35.11, 2.556 Å, I 54
hkl 3 1 3, 2θ 40.18, 2.244 Å, I 33
hkl 0 2 0, 2θ 44.05, 2.056 Å, I 38
hkl 9 1 -1, 2θ 44.51, 2.036 Å, I 62

---

# 2
Theoretical powder X-ray diffraction pattern of Pm2Zn2CdAg5 for Cu Kα (weighted mean of Kα1 and Kα2), from a DFT-relaxed cell (GGA-PBE, Alexandria).
Neutral-atom scattering factors, no anomalous dispersion.

Cell lengths 10.009, 10.009, 4.206 Å; angles 90.00, 90.00, 90.00 degrees
Space group P4/mbm (No. 127)
Inequivalent atoms, fractional coordinates:
Pm1 0.180 0.320 0.000 [4 per cell]
Zn1 0.115 0.615 0.000 [4 per cell]
Cd1 0.000 0.000 0.000 [2 per cell]
Ag1 0.000 0.500 0.500 [2 per cell]
Ag2 0.057 0.792 0.500 [8 per cell]

Top 6 peaks for 2θ = 10–90°, in order of rising 2θ:
hkl 2 2 1, 2θ 33.08, 2.708 Å, I 38
hkl 3 1 1, 2θ 35.49, 2.529 Å, I 100
hkl 4 1 0, 2θ 37.03, 2.428 Å, I 51
hkl 3 2 1, 2θ 38.87, 2.317 Å, I 39
hkl 0 0 2, 2θ 43.01, 2.103 Å, I 32
hkl 4 1 2, 2θ 58.03, 1.590 Å, I 32

---

# 3
Theoretical powder X-ray diffraction pattern of TmAlCu3 for Cu Kα (weighted mean of Kα1 and Kα2), from a DFT-relaxed cell (GGA-PBE, Alexandria).
Neutral-atom scattering factors, no anomalous dispersion.

Cell lengths 3.964, 3.964, 10.485 Å; angles 90.00, 90.00, 90.00 degrees
Space group I4mm (No. 107)
Inequivalent atoms, fractional coordinates:
Tm1 0.000 0.000 0.000 [2 per cell]
Al1 0.000 0.000 0.627 [2 per cell]
Cu1 0.000 0.000 0.400 [2 per cell]
Cu2 0.000 0.500 0.261 [4 per cell]

Top 6 peaks for 2θ = 10–90°, in order of rising 2θ:
hkl 1 0 1, 2θ 24.00, 3.708 Å, I 24
hkl 0 0 4, 2θ 34.20, 2.622 Å, I 64
hkl 1 1 2, 2θ 36.34, 2.472 Å, I 100
hkl 2 0 0, 2θ 45.77, 1.982 Å, I 39
hkl 1 0 5, 2θ 49.15, 1.854 Å, I 28
hkl 2 0 4, 2θ 58.36, 1.581 Å, I 33

---

# 4
Theoretical powder X-ray diffraction pattern of NdAl3Pb2O8 for Cu Kα (weighted mean of Kα1 and Kα2), from a DFT-relaxed cell (GGA-PBE, Alexandria).
Neutral-atom scattering factors, no anomalous dispersion.

Cell lengths 9.633, 9.633, 9.633 Å; angles 90.00, 90.00, 90.00 degrees
Space group Pn-3m (No. 224, origin choice 2)
Inequivalent atoms, fractional coordinates:
Nd1 0.000 0.000 0.000 [4 per cell]
Al1 0.000 0.250 0.750 [12 per cell]
Pb1 0.117 0.117 0.383 [8 per cell]
O1 0.094 0.094 0.764 [24 per cell]
O2 0.141 0.141 0.141 [8 per cell]

Top 6 peaks for 2θ = 10–90°, in order of rising 2θ:
hkl 1 1 0, 2θ 13.00, 6.812 Å, I 75
hkl 2 2 1, 2θ 27.78, 3.211 Å, I 100
hkl 3 1 0, 2θ 29.32, 3.046 Å, I 75
hkl 3 1 1, 2θ 30.78, 2.905 Å, I 64
hkl 3 3 0, 2θ 39.70, 2.271 Å, I 45
hkl 4 4 0, 2θ 53.83, 1.703 Å, I 39